The following is a computed X-ray diffraction stick pattern of CuC4S4N2O12. It was derived from a structure optimized by DFT (PBE), using Cu Kα (weighted mean of Kα1 and Kα2).

Main lines, by angle (10° ≤ 2θ ≤ 90°):
2θ/deg	I (rel.)	hkl
10.2	100	0 0 1
16.1	19	1 0 -1
20.0	17	1 2 1
20.4	32	1 -1 0
20.5	34	-1 1 1
23.1	56	2 1 0
25.0	51	1 -1 1
28.2	32	1 2 -1
29.6	17	0 2 -1
31.6	16	-1 2 2

Crystal structure
a b c (Å): 7.8384 8.9982 9.6156
angles (deg): 64.46 79.86 64.80
Element x y z (fractional)
Cu: 0.0000 0.0000 0.0000
C: 0.2836 0.5624 0.5960
C: 0.3596 0.9830 0.3904
C: 0.6404 0.0170 0.6096
C: 0.7164 0.4376 0.4040
S: 0.2282 0.4060 0.1690
S: 0.3420 0.2437 0.9397
S: 0.6580 0.7563 0.0603
S: 0.7718 0.5940 0.8310
N: 0.3526 0.3354 0.0420
N: 0.6474 0.6646 0.9580
O: 0.0722 0.8716 0.2071
O: 0.0814 0.9744 0.8151
O: 0.1245 0.6229 0.5748
O: 0.1682 0.2124 0.9482
O: 0.3437 0.4439 0.2442
O: 0.4975 0.9246 0.3327
O: 0.5025 0.0754 0.6673
O: 0.6563 0.5561 0.7558
O: 0.8318 0.7876 0.0518
O: 0.8755 0.3771 0.4252
O: 0.9186 0.0256 0.1849
O: 0.9278 0.1284 0.7929